Record 1
Structure and computed powder diffractogram of Ti2SeCl3 (a cell relaxed with GGA-PBE; Cu Ka).
Peak positions follow from Bragg's law for the DFT cell and can differ from measured ones.

Crystal structure
a b c (Å): 3.3403 3.3403 28.0879
angles (deg): 90.00 90.00 120.00
Atoms (fractional coordinates):
Ti: 0.0000 0.0000 0.0000
Ti: 0.0000 0.0000 0.4968
Ti: 0.6667 0.3333 0.2495
Ti: 0.6667 0.3333 0.7482
Se: 0.0000 0.0000 0.6891
Se: 0.0000 0.0000 0.8073
Cl: 0.0000 0.0000 0.1937
Cl: 0.0000 0.0000 0.3053
Cl: 0.6667 0.3333 0.0558
Cl: 0.6667 0.3333 0.4410
Cl: 0.6667 0.3333 0.5523
Cl: 0.6667 0.3333 0.9445

Largest 12 diffraction maxima, sorted by position, 5° ≤ 2θ ≤ 70°:
Position (°2θ)	d/Å	I/Imax
6.29	14.044	21
12.61	7.022	100
25.37	3.511	9
30.91	2.893	47
33.50	2.675	13
36.51	2.461	80
44.98	2.015	73
52.10	1.755	9
54.98	1.670	30
56.65	1.625	10
61.82	1.501	9
67.82	1.382	11

Record 2
Structure and computed powder diffractogram of Ti3Se4Cl2 (a cell relaxed with GGA-PBE; Cu Ka).
Peak positions follow from Bragg's law for the DFT cell and can differ from measured ones.

Crystal structure
a b c (Å): 3.4317 3.4317 21.2872
angles (deg): 90.00 90.00 120.00
Atoms (fractional coordinates):
Ti: 0.0000 0.0000 0.0000
Ti: 0.0000 0.0000 0.3442
Ti: 0.6667 0.3333 0.6738
Se: 0.0000 0.0000 0.5973
Se: 0.0000 0.0000 0.7510
Se: 0.6667 0.3333 0.2671
Se: 0.6667 0.3333 0.4208
Cl: 0.6667 0.3333 0.0722
Cl: 0.6667 0.3333 0.9279

Largest 12 diffraction maxima, sorted by position, 5° ≤ 2θ ≤ 70°:
Position (°2θ)	d/Å	I/Imax
12.47	7.096	100
25.10	3.548	25
30.07	2.972	63
30.37	2.943	36
32.67	2.741	15
34.57	2.595	27
36.88	2.437	85
39.56	2.278	18
42.53	2.126	49
45.77	1.982	52
53.40	1.716	46
66.66	1.403	14

Record 3
Structure and computed powder diffractogram of Tl4SeCl (a cell relaxed with GGA-PBE; Cu Ka).
Peak positions follow from Bragg's law for the DFT cell and can differ from measured ones.

Crystal structure
a b c (Å): 8.9244 8.9244 7.3478
angles (deg): 102.55 102.55 126.34
Atoms (fractional coordinates):
Tl: 0.0333 0.4098 0.2411
Tl: 0.2385 0.3072 0.8832
Tl: 0.3072 0.2385 0.3832
Tl: 0.4098 0.0333 0.7411
Tl: 0.5902 0.9667 0.2589
Tl: 0.6928 0.7615 0.6168
Tl: 0.7615 0.6928 0.1168
Tl: 0.9667 0.5902 0.7589
Se: 0.1818 0.8182 0.2500
Se: 0.8182 0.1818 0.7500
Cl: 0.3559 0.6441 0.7500
Cl: 0.6441 0.3559 0.2500

Largest 12 diffraction maxima, sorted by position, 5° ≤ 2θ ≤ 70°:
Position (°2θ)	d/Å	I/Imax
24.87	3.580	74
25.23	3.530	66
26.31	3.387	75
27.70	3.221	34
29.93	2.985	31
31.64	2.828	100
35.20	2.549	25
36.23	2.479	24
38.83	2.319	24
39.74	2.268	21
41.35	2.183	33
57.06	1.614	20

Record 4
Structure and computed powder diffractogram of Tl6Se3Cl (a cell relaxed with GGA-PBE; Cu Ka).
Peak positions follow from Bragg's law for the DFT cell and can differ from measured ones.

Crystal structure
a b c (Å): 4.5346 7.3287 11.2481
angles (deg): 84.29 78.39 72.17
Atoms (fractional coordinates):
Tl: 0.0323 0.2007 0.2277
Tl: 0.3184 0.2759 0.5878
Tl: 0.3355 0.7143 0.1176
Tl: 0.6645 0.2857 0.8824
Tl: 0.6816 0.7241 0.4122
Tl: 0.9677 0.7993 0.7723
Se: 0.0000 0.5000 0.0000
Se: 0.3716 0.4267 0.3261
Se: 0.6284 0.5733 0.6739
Cl: 0.0000 0.0000 0.5000

Largest 12 diffraction maxima, sorted by position, 5° ≤ 2θ ≤ 70°:
Position (°2θ)	d/Å	I/Imax
23.80	3.738	14
24.07	3.698	74
25.56	3.485	30
27.00	3.303	23
27.93	3.194	59
29.78	3.000	100
39.76	2.267	28
40.26	2.240	17
40.36	2.234	17
42.24	2.139	32
47.14	1.928	12
49.29	1.849	25